The following is a simulated powder diffractogram of LiV6O7F5. It was derived from DFT lattice parameters and positions (GGA+U), using copper Kα.
No peak broadening, texture or thermal motion is included.

Structure:
abc: 4.8201 5.6860 7.8130
angles: 85.34 89.56 89.85
Space group P1 (No. 1)
Inequivalent atoms, fractional coordinates:
Li: 0.0000 0.0000 0.0000 [1 per cell]
V: 0.0263 0.5743 0.8762 [1 per cell]
V: 0.0363 0.9471 0.5679 [1 per cell]
V: 0.4719 0.4391 0.5428 [1 per cell]
V: 0.4824 0.7861 0.2448 [1 per cell]
V: 0.4887 0.1237 0.9024 [1 per cell]
V: 0.9855 0.2992 0.2386 [1 per cell]
O: 0.1857 0.2485 0.4576 [1 per cell]
O: 0.1858 0.9053 0.8054 [1 per cell]
O: 0.2928 0.7511 0.4612 [1 per cell]
O: 0.3009 0.0793 0.1292 [1 per cell]
O: 0.3182 0.4072 0.7828 [1 per cell]
O: 0.6884 0.4944 0.3217 [1 per cell]
O: 0.8194 0.2976 0.9906 [1 per cell]
F: 0.1902 0.5906 0.1229 [1 per cell]
F: 0.6908 0.1307 0.6577 [1 per cell]
F: 0.6995 0.8019 0.0016 [1 per cell]
F: 0.7984 0.9866 0.3364 [1 per cell]
F: 0.8034 0.6364 0.6537 [1 per cell]

Peak list (12 most intense, 10° ≤ 2θ ≤ 80°, by angle)
hkl, d/Å, Rel. int.
1 1 1, 3.401, 100
-1 1 1, 3.380, 97
1 -1 2, 2.609, 24
0 2 -1, 2.596, 75
1 -2 1, 2.286, 26
2 0 3, 1.773, 15
2 2 -1, 1.766, 28
1 3 0, 1.759, 45
2 2 2, 1.701, 19
-2 2 2, 1.690, 18
0 2 -4, 1.547, 19
0 4 1, 1.414, 19